[1]
Theoretical powder X-ray diffraction pattern of SrAlZn2In for CuKα, from a cell relaxed with PBE.
Peak positions follow from Bragg's law for the DFT cell and can differ from measured ones.

Most intense lines, 2θ = 10–90°, low angle first:
30.90 deg, d 2.894, I = 62, hkl 1 0 3
32.40 deg, d 2.764, I = 100, hkl 1 1 2
40.36 deg, d 2.235, I = 55, hkl 2 0 0
42.74 deg, d 2.116, I = 25, hkl 1 1 4
44.64 deg, d 2.030, I = 26, hkl 1 0 5
51.68 deg, d 1.769, I = 29, hkl 2 1 3

Structural model:
Lattice parameters (Å, degrees): 4.4695 4.4695 11.3917 90.00 90.00 90.00
Space group I4mm (No. 107)
Symmetry-distinct sites (fractional):
Sr (0.0000, 0.0000, 0.0000) [2 per cell]
Al (0.0000, 0.0000, 0.6217) [2 per cell]
Zn (0.0000, 0.5000, 0.2366) [4 per cell]
In (0.0000, 0.0000, 0.3792) [2 per cell]


[2]
Theoretical powder X-ray diffraction pattern of Ga3NiS6 for CuKα, from a cell relaxed with PBE.
Peak positions follow from Bragg's law for the DFT cell and can differ from measured ones.

Most intense lines, 2θ = 10–90°, low angle first:
15.82 deg, d 5.603, I = 43, hkl 0 0 2
29.30 deg, d 3.048, I = 69, hkl 1 1 0
33.47 deg, d 2.677, I = 85, hkl 1 1 2
43.90 deg, d 2.062, I = 100, hkl 1 1 4
51.97 deg, d 1.759, I = 68, hkl 3 0 0
70.33 deg, d 1.338, I = 22, hkl 4 -2 4

Structural model:
Lattice parameters (Å, degrees): 6.0946 6.0946 11.2052 90.00 90.00 120.00
Space group P-31c (No. 163)
Symmetry-distinct sites (fractional):
Ga (0.0000, 0.0000, 0.0000) [2 per cell]
Ga (0.3333, 0.6667, 0.0261) [4 per cell]
Ni (0.3333, 0.6667, 0.7500) [2 per cell]
S (0.0311, 0.3516, 0.8773) [12 per cell]


[3]
Theoretical powder X-ray diffraction pattern of BeCoB4 for CuKα, from a cell relaxed with PBE.
Peak positions follow from Bragg's law for the DFT cell and can differ from measured ones.

Most intense lines, 2θ = 10–90°, low angle first:
14.92 deg, d 5.936, I = 100, hkl 0 0 1
35.41 deg, d 2.535, I = 34, hkl 1 0 0
38.62 deg, d 2.331, I = 62, hkl 1 0 1
47.15 deg, d 1.928, I = 71, hkl 1 0 2
59.24 deg, d 1.560, I = 15, hkl 1 0 3
63.57 deg, d 1.464, I = 18, hkl 1 1 0

Structural model:
Lattice parameters (Å, degrees): 2.9271 2.9271 5.9361 90.00 90.00 120.00
Space group P6/mmm (No. 191)
Symmetry-distinct sites (fractional):
Be (0.0000, 0.0000, 0.0000) [1 per cell]
Co (0.0000, 0.0000, 0.5000) [1 per cell]
B (0.3333, 0.6667, 0.2449) [4 per cell]